1.
# NaCdRh4O8
Theoretical PXRD pattern, Cu Kα (weighted mean of Kα1 and Kα2). Input: a structure optimized by DFT (GGA-PBE).

Crystal structure
```
data_NaCdRh4O8
_chemical_formula_sum 'Na2 Cd2 Rh8 O16'
_cell_length_a 9.186
_cell_length_b 3.107
_cell_length_c 10.980
_cell_angle_alpha 90.00
_cell_angle_beta 90.30
_cell_angle_gamma 90.00
_space_group_name_H-M_alt 'P 1 21/m 1'
_space_group_IT_number 11
loop_
_space_group_symop_operation_xyz
'x,y,z'
'-x,-y,-z'
'-x,y+1/2,-z'
'x,-y+1/2,z'
loop_
_atom_site_label
_atom_site_type_symbol
_atom_site_fract_x
_atom_site_fract_y
_atom_site_fract_z
_atom_site_occupancy
Na1 Na 0.235 0.250 0.158 1
Cd1 Cd 0.264 0.750 0.661 1
Rh1 Rh 0.057 0.250 0.383 1
Rh2 Rh 0.089 0.250 0.901 1
Rh3 Rh 0.408 0.750 0.399 1
Rh4 Rh 0.449 0.750 0.884 1
O1 O 0.051 0.750 0.785 1
O2 O 0.086 0.250 0.569 1
O3 O 0.113 0.750 0.024 1
O4 O 0.194 0.750 0.338 1
O5 O 0.305 0.250 0.837 1
O6 O 0.383 0.250 0.528 1
O7 O 0.416 0.750 0.068 1
O8 O 0.468 0.250 0.291 1
```

Principal peaks in the range 10 to 90 degrees two-theta, most intense first:
2θ/deg  d/Å  I (rel.)  hkl
34.57  2.594  1000  1 1 -2
33.43  2.680  584  3 0 -2
32.62  2.745  558  0 0 4
33.59  2.668  538  3 0 2
34.86  2.573  449  2 1 0
59.48  1.554  424  0 2 0
12.57  7.044  307  1 0 1
48.56  1.875  285  2 1 4
70.04  1.343  260  3 2 -2
39.28  2.294  220  1 1 3

---

2.
# Na2CdRh3O8
Theoretical PXRD pattern, Cu Kα (weighted mean of Kα1 and Kα2). Input: a structure optimized by DFT (GGA-PBE).

Crystal structure
```
data_Na2CdRh3O8
_chemical_formula_sum 'Na6 Cd3 Rh9 O24'
_cell_length_a 6.2883
_cell_length_b 6.2883
_cell_length_c 15.9588
_cell_angle_alpha 90.00
_cell_angle_beta 90.00
_cell_angle_gamma 120.00
_space_group_name_H-M_alt 'R 3 m'
_space_group_IT_number 160
_space_group_name_Hall 'R 3 -2"'
loop_
_atom_site_label
_atom_site_type_symbol
_atom_site_fract_x
_atom_site_fract_y
_atom_site_fract_z
_atom_site_occupancy
Na1 Na 0.0000 0.0000 0.0000 1
Na2 Na 0.0000 0.0000 0.3746 1
Cd1 Cd 0.0000 0.0000 0.7556 1
Rh1 Rh 0.0041 0.5021 0.8763 1
O1 O 0.0000 0.0000 0.1440 1
O2 O 0.0000 0.0000 0.6104 1
O3 O 0.0361 0.5180 0.1439 1
O4 O 0.1831 0.3663 0.9368 1
```

Principal peaks in the range 10 to 90 degrees two-theta, most intense first:
2θ/deg  d/Å  I (rel.)  hkl
33.38  2.684  1000  0 2 1
16.67  5.320  901  0 0 3
33.10  2.707  759  1 1 3
27.72  3.218  574  1 0 4
58.73  1.572  431  2 2 0
57.25  1.609  404  2 0 8
40.09  2.249  400  0 2 4
19.74  4.498  400  0 1 2
52.34  1.748  398  0 2 7
32.52  2.754  387  0 1 5

---

3.
# NaCd3Rh8O16
Theoretical PXRD pattern, Cu Kα (weighted mean of Kα1 and Kα2). Input: a structure optimized by DFT (GGA-PBE).

Crystal structure
```
data_NaCd3Rh8O16
_chemical_formula_sum 'Na1 Cd3 Rh8 O16'
_cell_length_a 9.268
_cell_length_b 3.111
_cell_length_c 10.951
_cell_angle_alpha 90.00
_cell_angle_beta 90.18
_cell_angle_gamma 90.00
_space_group_name_H-M_alt 'P 1 m 1'
_space_group_IT_number 6
loop_
_space_group_symop_operation_xyz
'x,y,z'
'x,-y,z'
loop_
_atom_site_label
_atom_site_type_symbol
_atom_site_fract_x
_atom_site_fract_y
_atom_site_fract_z
_atom_site_occupancy
Na1 Na 0.000 0.000 0.000 1
Cd1 Cd 0.469 0.500 0.319 1
Cd2 Cd 0.500 0.000 0.820 1
Cd3 Cd 0.969 0.500 0.497 1
Rh1 Rh 0.139 0.000 0.256 1
Rh2 Rh 0.180 0.000 0.777 1
Rh3 Rh 0.287 0.500 0.542 1
Rh4 Rh 0.325 0.500 0.060 1
Rh5 Rh 0.641 0.000 0.561 1
Rh6 Rh 0.686 0.000 0.040 1
Rh7 Rh 0.787 0.500 0.273 1
Rh8 Rh 0.830 0.500 0.759 1
O1 O 0.043 0.500 0.820 1
O2 O 0.122 0.500 0.132 1
O3 O 0.148 0.000 0.591 1
O4 O 0.176 0.500 0.374 1
O5 O 0.291 0.000 0.944 1
O6 O 0.323 0.500 0.729 1
O7 O 0.347 0.000 0.192 1
O8 O 0.428 0.000 0.495 1
O9 O 0.542 0.500 0.994 1
O10 O 0.624 0.500 0.690 1
O11 O 0.648 0.000 0.225 1
O12 O 0.677 0.500 0.444 1
O13 O 0.774 0.000 0.867 1
O14 O 0.821 0.500 0.089 1
O15 O 0.851 0.000 0.626 1
O16 O 0.927 0.000 0.320 1
```

Principal peaks in the range 10 to 90 degrees two-theta, most intense first:
2θ/deg  d/Å  I (rel.)  hkl
33.30  2.691  1000  3 0 -2
34.54  2.597  748  1 1 -2
32.71  2.738  479  0 0 4
34.73  2.583  370  2 1 0
48.42  1.880  258  2 1 -4
39.28  2.294  257  1 1 3
69.85  1.347  254  3 2 -2
49.77  1.832  213  4 1 1
59.43  1.555  193  0 2 0
48.50  1.877  186  2 1 4

---

4.
# Na2CdSO6
Theoretical PXRD pattern, Cu Kα (weighted mean of Kα1 and Kα2). Input: a structure optimized by DFT (GGA-PBE).

Crystal structure
```
data_Na2CdSO6
_chemical_formula_sum 'Na2 Cd1 S1 O6'
_cell_length_a 5.6167
_cell_length_b 5.6167
_cell_length_c 5.6678
_cell_angle_alpha 90.00
_cell_angle_beta 90.00
_cell_angle_gamma 120.00
_space_group_name_H-M_alt 'P -3 m 1'
_space_group_IT_number 164
_space_group_name_Hall '-P 3 2"'
loop_
_atom_site_label
_atom_site_type_symbol
_atom_site_fract_x
_atom_site_fract_y
_atom_site_fract_z
_atom_site_occupancy
Na1 Na 0.3333 0.6667 0.0793 1
Cd1 Cd 0.0000 0.0000 0.5000 1
S1 S 0.0000 0.0000 0.0000 1
O1 O 0.1393 0.2786 0.8292 1
```

Principal peaks in the range 10 to 90 degrees two-theta, most intense first:
2θ/deg  d/Å  I (rel.)  hkl
18.24  4.864  1000  1 0 0
31.87  2.808  268  1 1 0
24.11  3.691  253  1 0 1
45.47  1.995  225  1 1 2
40.35  2.235  212  0 2 1
36.70  2.449  166  0 1 2
49.38  1.846  165  2 0 2
59.98  1.542  112  1 2 2
52.31  1.749  111  1 2 1
66.43  1.407  75  3 0 2

---

5.
# NaCdSe2O6
Theoretical PXRD pattern, Cu Kα (weighted mean of Kα1 and Kα2). Input: a structure optimized by DFT (GGA-PBE).

Crystal structure
```
data_NaCdSe2O6
_chemical_formula_sum 'Na3 Cd3 Se6 O18'
_cell_length_a 5.4902
_cell_length_b 5.4902
_cell_length_c 17.0779
_cell_angle_alpha 90.00
_cell_angle_beta 90.00
_cell_angle_gamma 120.00
_space_group_name_H-M_alt 'R -3'
_space_group_IT_number 148
_space_group_name_Hall '-R 3'
loop_
_atom_site_label
_atom_site_type_symbol
_atom_site_fract_x
_atom_site_fract_y
_atom_site_fract_z
_atom_site_occupancy
Na1 Na 0.0000 0.0000 0.0000 1
Cd1 Cd 0.0000 0.0000 0.5000 1
Se1 Se 0.0000 0.0000 0.2815 1
O1 O 0.0080 0.2959 0.2452 1
```

Principal peaks in the range 10 to 90 degrees two-theta, most intense first:
2θ/deg  d/Å  I (rel.)  hkl
28.09  3.177  1000  1 0 4
32.62  2.745  592  1 1 0
19.38  4.580  523  1 0 1
32.27  2.774  461  0 1 5
46.57  1.950  259  2 0 5
59.19  1.561  227  1 1 9
55.48  1.656  226  3 -1 4
58.21  1.585  225  3 0 0
43.57  2.077  213  0 2 4
58.00  1.590  201  1 2 5

---

6.
# NaCd2SiO4
Theoretical PXRD pattern, Cu Kα (weighted mean of Kα1 and Kα2). Input: a structure optimized by DFT (GGA-PBE).

Crystal structure
```
data_NaCd2SiO4
_chemical_formula_sum 'Na2 Cd4 Si2 O8'
_cell_length_a 5.088
_cell_length_b 5.088
_cell_length_c 9.244
_cell_angle_alpha 90.00
_cell_angle_beta 90.00
_cell_angle_gamma 90.00
_space_group_name_H-M_alt 'I -4 2 m'
_space_group_IT_number 121
_space_group_name_Hall 'I -4 2'
loop_
_atom_site_label
_atom_site_type_symbol
_atom_site_fract_x
_atom_site_fract_y
_atom_site_fract_z
_atom_site_occupancy
Na1 Na 0.000 0.000 0.000 1
Cd1 Cd 0.000 0.500 0.250 1
Si1 Si 0.000 0.000 0.500 1
O1 O 0.192 0.192 0.602 1
```

Principal peaks in the range 10 to 90 degrees two-theta, most intense first:
2θ/deg  d/Å  I (rel.)  hkl
31.51  2.839  1000  1 1 2
24.75  3.598  302  1 1 0
60.97  1.520  256  3 1 2
53.57  1.711  252  2 0 4
35.28  2.544  235  2 0 0
19.20  4.622  234  0 0 2
40.47  2.229  214  2 0 2
50.75  1.799  147  2 2 0
46.71  1.944  132  1 1 4
87.70  1.113  103  3 1 6

---

7.
# Na2CdTeO4
Theoretical PXRD pattern, Cu Kα (weighted mean of Kα1 and Kα2). Input: a structure optimized by DFT (GGA-PBE).

Crystal structure
```
data_Na2CdTeO4
_chemical_formula_sum 'Na8 Cd4 Te4 O16'
_cell_length_a 6.732
_cell_length_b 6.805
_cell_length_c 9.663
_cell_angle_alpha 90.00
_cell_angle_beta 90.00
_cell_angle_gamma 90.00
_space_group_name_H-M_alt 'I m m a'
_space_group_IT_number 74
_space_group_name_Hall '-I 2b 2'
loop_
_atom_site_label
_atom_site_type_symbol
_atom_site_fract_x
_atom_site_fract_y
_atom_site_fract_z
_atom_site_occupancy
Na1 Na 0.000 0.000 0.000 1
Na2 Na 0.250 0.250 0.250 1
Cd1 Cd 0.000 0.000 0.500 1
Te1 Te 0.250 0.250 0.750 1
O1 O 0.000 0.023 0.750 1
O2 O 0.239 0.250 0.524 1
```

Principal peaks in the range 10 to 90 degrees two-theta, most intense first:
2θ/deg  d/Å  I (rel.)  hkl
37.59  2.393  1000  2 2 0
15.93  5.564  836  0 1 1
53.92  1.700  788  0 4 0
32.18  2.782  614  0 2 2
32.42  2.762  597  2 0 2
16.05  5.524  576  1 0 1
37.22  2.416  502  0 0 4
31.05  2.880  268  2 1 1
30.74  2.908  229  1 0 3
30.87  2.897  215  1 2 1